[1]
Simulated X-ray powder pattern
Compound: LiV2Si2O8
Radiation: CuKα
Structure: the GGA+U geometry in the Materials Project
Kinematic intensities with the Lorentz-polarization factor, no thermal factor.

Peak list (10 most intense, 2θ = 15–90°, by angle)
2theta  intensity  h k l
19.82  30.3  0 0 2
20.86  72.8  0 1 1
24.32  28.7  1 0 2
25.18  67.8  1 1 1
34.63  66.1  2 0 2
35.29  100.0  0 1 3
39.46  33.8  2 1 2
51.70  32.6  2 2 2
62.52  36.9  2 1 5
65.78  32.5  2 3 1

Cell and atoms:
a = 6.349 Å, b = 4.839 Å, c = 8.960 Å
α = 90.00°, β = 90.00°, γ = 90.00°
Space group Pmc2_1 (No. 26)
Unique sites:
Li  0.000  0.227  0.000
V  0.258  0.255  0.335
Si  0.000  0.274  0.657
Si  0.500  0.225  0.013
O  0.000  0.053  0.213
O  0.000  0.342  0.475
O  0.205  0.437  0.722
O  0.286  0.072  0.952
O  0.500  0.174  0.197
O  0.500  0.450  0.449



[2]
Simulated X-ray powder pattern
Compound: CaV2O2
Radiation: CuKα
Structure: the GGA+U geometry in the Materials Project
Kinematic intensities with the Lorentz-polarization factor, no thermal factor.

Peak list (10 most intense, 2θ = 15–90°, by angle)
2theta  intensity  h k l
21.37  38.5  1 1 2
25.62  52.6  1 0 3
25.97  21.2  2 0 2
29.40  100.0  2 2 0
33.15  37.6  2 1 3
39.39  17.3  3 0 3
42.07  20.9  4 0 0
46.14  44.2  3 1 4
47.65  20.5  3 3 2
52.64  26.9  2 0 6

Cell and atoms:
a = 8.592 Å, b = 8.592 Å, c = 11.407 Å
α = 90.00°, β = 90.00°, γ = 90.00°
Space group I4_1/amd (No. 141, origin choice 2)
Unique sites:
Ca  0.000  0.000  0.000
V  0.000  0.063  0.319
O  0.000  0.077  0.795



[3]
Simulated X-ray powder pattern
Compound: MoO3
Radiation: CuKα
Structure: the GGA+U geometry in the Materials Project
Kinematic intensities with the Lorentz-polarization factor, no thermal factor.

Peak list (10 most intense, 2θ = 15–90°, by angle)
2theta  intensity  h k l
23.24  73.1  1 0 1
24.69  38.1  4 0 0
25.62  19.1  2 0 1
26.73  100.0  2 1 0
33.40  28.9  1 1 1
37.40  22.4  6 0 0
38.58  15.1  5 0 1
48.40  17.9  0 2 0
55.90  15.4  7 1 1
56.61  14.1  8 1 0

Cell and atoms:
a = 14.425 Å, b = 3.761 Å, c = 3.969 Å
α = 90.00°, β = 90.00°, γ = 90.00°
Space group Pnma (No. 62)
Unique sites:
Mo  0.102  0.250  0.076
O  0.065  0.750  0.004
O  0.088  0.250  0.522
O  0.220  0.250  0.037



[4]
Simulated X-ray powder pattern
Compound: LiCrP3H8O13
Radiation: CuKα
Structure: the GGA+U geometry in the Materials Project
Kinematic intensities with the Lorentz-polarization factor, no thermal factor.

Peak list (10 most intense, 2θ = 15–90°, by angle)
2theta  intensity  h k l
15.06  100.0  1 0 -1
15.68  62.0  1 1 1
16.02  52.6  0 1 -1
18.91  46.5  1 -1 0
21.93  84.9  1 0 -2
27.79  40.4  2 2 0
28.03  63.3  0 1 3
28.18  27.6  -1 2 1
30.21  23.8  2 -1 0
31.20  33.0  2 1 -2

Cell and atoms:
a = 7.536 Å, b = 8.674 Å, c = 9.680 Å
α = 77.25°, β = 89.44°, γ = 72.52°
Space group P-1 (No. 2)
Unique sites:
Li  0.212  0.106  0.309
Cr  0.000  0.500  0.500
Cr  0.500  0.000  0.000
P  0.215  0.776  0.059
P  0.298  0.858  0.751
P  0.488  0.499  0.780
H  0.037  0.590  0.228
H  0.112  0.505  0.753
H  0.154  0.746  0.527
H  0.161  0.205  0.967
H  0.257  0.636  0.417
H  0.297  0.316  0.951
H  0.313  0.184  0.628
H  0.385  0.328  0.543
O  0.015  0.487  0.286
O  0.032  0.777  0.120
O  0.135  0.679  0.460
O  0.170  0.878  0.626
O  0.179  0.818  0.889
O  0.279  0.210  0.010
O  0.292  0.271  0.539
O  0.309  0.471  0.830
O  0.317  0.884  0.104
O  0.352  0.587  0.091
O  0.385  0.991  0.760
O  0.443  0.546  0.355
O  0.476  0.691  0.772



[5]
Simulated X-ray powder pattern
Compound: MoPb3Cl2O5
Radiation: CuKα
Structure: the GGA+U geometry in the Materials Project
Kinematic intensities with the Lorentz-polarization factor, no thermal factor.

Peak list (10 most intense, 2θ = 15–90°, by angle)
2theta  intensity  h k l
23.25  69.2  1 1 2
25.40  22.5  1 3 0
26.65  45.6  1 3 1
27.34  29.9  0 2 3
30.06  100.0  1 3 2
31.46  41.2  2 0 0
31.92  27.7  0 0 4
42.14  28.5  2 2 3
45.43  30.2  2 0 4
54.87  22.0  2 6 2

Cell and atoms:
a = 5.687 Å, b = 13.361 Å, c = 11.215 Å
α = 90.00°, β = 90.00°, γ = 90.00°
Space group Cmcm (No. 63)
Unique sites:
Mo  0.000  0.234  0.250
Pb  0.000  0.102  0.750
Pb  0.000  0.347  0.531
Cl  0.000  0.000  0.000
Cl  0.000  0.478  0.250
O  0.000  0.105  0.250
O  0.234  0.271  0.131



[6]
Simulated X-ray powder pattern
Compound: NiH8C4N2O6
Radiation: CuKα
Structure: the GGA+U geometry in the Materials Project
Kinematic intensities with the Lorentz-polarization factor, no thermal factor.

Peak list (10 most intense, 2θ = 15–90°, by angle)
2theta  intensity  h k l
15.28  38.9  1 1 -1
15.43  27.1  1 1 0
16.89  100.0  0 2 0
21.90  45.6  1 1 1
24.88  21.4  2 1 -1
25.61  17.6  2 0 -2
29.87  40.7  1 0 2
30.69  20.3  1 1 -3
34.51  21.3  1 2 2
35.69  14.3  3 0 -2

Cell and atoms:
a = 7.616 Å, b = 10.497 Å, c = 9.106 Å
α = 90.00°, β = 115.79°, γ = 90.00°
Space group P2_1/c (No. 14)
Unique sites:
Ni  0.000  0.000  0.000
H  0.098  0.074  0.700
H  0.116  0.210  0.017
H  0.381  0.085  0.668
H  0.471  0.534  0.630
C  0.236  0.046  0.804
C  0.298  0.137  0.346
N  0.394  0.052  0.777
O  0.024  0.172  0.052
O  0.241  0.012  0.938
O  0.272  0.036  0.384



[7]
Simulated X-ray powder pattern
Compound: Li9Mn2Co5O16
Radiation: CuKα
Structure: the GGA+U geometry in the Materials Project
Kinematic intensities with the Lorentz-polarization factor, no thermal factor.

Peak list (10 most intense, 2θ = 15–90°, by angle)
2theta  intensity  h k l
18.42  100.0  0 1 1
35.01  17.5  2 0 2
36.72  11.9  2 1 -1
36.78  11.9  0 2 -2
41.98  30.9  2 1 3
44.69  50.4  2 0 -2
47.60  9.5  2 3 1
58.79  9.5  -2 1 3
62.80  15.1  2 4 2
65.61  9.0  2 3 -3

Cell and atoms:
a = 5.905 Å, b = 6.463 Å, c = 7.877 Å
α = 87.50°, β = 75.85°, γ = 76.36°
Space group P1 (No. 1)
Unique sites:
Li  0.000  0.000  0.000
Li  0.007  0.521  0.531
Li  0.126  0.883  0.644
Li  0.239  0.255  0.762
Li  0.251  0.761  0.275
Li  0.485  0.529  0.525
Li  0.510  0.999  0.009
Li  0.753  0.766  0.267
Li  0.772  0.248  0.763
Mn  0.375  0.132  0.398
Mn  0.633  0.385  0.140
Co  0.133  0.388  0.142
Co  0.373  0.637  0.885
Co  0.624  0.885  0.643
Co  0.880  0.132  0.399
Co  0.882  0.636  0.888
O  0.077  0.202  0.565
O  0.089  0.678  0.078
O  0.175  0.573  0.720
O  0.190  0.096  0.226
O  0.334  0.932  0.826
O  0.339  0.436  0.325
O  0.434  0.843  0.447
O  0.446  0.342  0.976
O  0.564  0.180  0.562
O  0.589  0.677  0.072
O  0.665  0.588  0.706
O  0.673  0.090  0.207
O  0.815  0.927  0.827
O  0.819  0.423  0.307
O  0.913  0.844  0.458
O  0.930  0.332  0.962



Q: Which formula does entry 3 have?
A: MoO3



Please write out number 6 again, unchanged.
Simulated X-ray powder pattern
Compound: NiH8C4N2O6
Radiation: CuKα
Structure: the GGA+U geometry in the Materials Project
Kinematic intensities with the Lorentz-polarization factor, no thermal factor.

Peak list (10 most intense, 2θ = 15–90°, by angle)
2theta  intensity  h k l
15.28  38.9  1 1 -1
15.43  27.1  1 1 0
16.89  100.0  0 2 0
21.90  45.6  1 1 1
24.88  21.4  2 1 -1
25.61  17.6  2 0 -2
29.87  40.7  1 0 2
30.69  20.3  1 1 -3
34.51  21.3  1 2 2
35.69  14.3  3 0 -2

Cell and atoms:
a = 7.616 Å, b = 10.497 Å, c = 9.106 Å
α = 90.00°, β = 115.79°, γ = 90.00°
Space group P2_1/c (No. 14)
Unique sites:
Ni  0.000  0.000  0.000
H  0.098  0.074  0.700
H  0.116  0.210  0.017
H  0.381  0.085  0.668
H  0.471  0.534  0.630
C  0.236  0.046  0.804
C  0.298  0.137  0.346
N  0.394  0.052  0.777
O  0.024  0.172  0.052
O  0.241  0.012  0.938
O  0.272  0.036  0.384